No. 1
Simulated X-ray powder pattern
Compound: ZrAg
Radiation: copper Kα
Structure: a DFT-relaxed cell (PBE, the Materials Project)
No peak broadening, texture or thermal motion is included.

Principal peaks in the range 2θ = 10–90°, in order of rising 2θ:
- 2θ 36.31, d = 2.474 Å, intensity 55
- 2θ 37.22, d = 2.416 Å, intensity 100
- 2θ 52.28, d = 1.750 Å, intensity 19
- 2θ 65.92, d = 1.417 Å, intensity 35
- 2θ 67.70, d = 1.384 Å, intensity 15
- 2θ 79.32, d = 1.208 Å, intensity 9
- 2θ 88.32, d = 1.107 Å, intensity 8
- 2θ 88.86, d = 1.101 Å, intensity 8

Structural model:
Cell lengths 3.499, 3.499, 6.678 Å; angles 90.00, 90.00, 90.00 degrees
Fractional positions:
Zr 0.250 0.250 0.143
Zr 0.750 0.750 0.857
Ag 0.250 0.250 0.615
Ag 0.750 0.750 0.385



No. 2
Simulated X-ray powder pattern
Compound: ZrAg2
Radiation: copper Kα
Structure: a DFT-relaxed cell (PBE, the Materials Project)
No peak broadening, texture or thermal motion is included.

Principal peaks in the range 2θ = 10–90°, in order of rising 2θ:
- 2θ 35.44, d = 2.533 Å, intensity 66
- 2θ 39.01, d = 2.309 Å, intensity 100
- 2θ 50.99, d = 1.791 Å, intensity 22
- 2θ 66.01, d = 1.415 Å, intensity 40
- 2θ 72.94, d = 1.297 Å, intensity 14
- 2θ 83.79, d = 1.154 Å, intensity 10
- 2θ 85.77, d = 1.133 Å, intensity 10
- 2θ 87.93, d = 1.110 Å, intensity 9

Structural model:
Cell lengths 5.190, 5.190, 5.190 Å; angles 139.62, 139.62, 58.43 degrees
Fractional positions:
Zr 0.000 0.000 0.000
Ag 0.329 0.329 0.000
Ag 0.671 0.671 0.000



No. 3
Simulated X-ray powder pattern
Compound: AlAs
Radiation: copper Kα
Structure: a DFT-relaxed cell (PBE, the Materials Project)
No peak broadening, texture or thermal motion is included.

Principal peaks in the range 2θ = 10–90°, in order of rising 2θ:
- 2θ 25.42, d = 3.504 Å, intensity 68
- 2θ 26.82, d = 3.325 Å, intensity 48
- 2θ 28.80, d = 3.100 Å, intensity 100
- 2θ 37.29, d = 2.412 Å, intensity 30
- 2θ 44.81, d = 2.023 Å, intensity 57
- 2θ 48.61, d = 1.873 Å, intensity 59
- 2θ 52.99, d = 1.728 Å, intensity 42
- 2θ 85.40, d = 1.137 Å, intensity 23

Structural model:
Cell lengths 4.046, 4.046, 6.649 Å; angles 90.00, 90.00, 120.00 degrees
Fractional positions:
Al 0.333 0.667 0.000
Al 0.667 0.333 0.500
As 0.333 0.667 0.374
As 0.667 0.333 0.874